No. 1
Simulated powder X-ray diffraction pattern
Compound: TbDyW2C3
Radiation: a wavelength of 1.5418 Å
Structure: a crystal structure in OQMD, relaxed with GGA-PBE

Main lines, sorted by position (2θ = 10–80°):
2θ 30.4, 2.937 Å, I = 20
2θ 31.1, 2.874 Å, I = 21
2θ 31.4, 2.851 Å, I = 33
2θ 32.7, 2.735 Å, I = 41
2θ 33.9, 2.643 Å, I = 25
2θ 34.5, 2.600 Å, I = 100
2θ 36.1, 2.491 Å, I = 78
2θ 37.0, 2.427 Å, I = 22
2θ 43.4, 2.084 Å, I = 24
2θ 55.7, 1.650 Å, I = 24

Structure:
```
14
Lattice="11.865 0.000 0.000 0.000 3.327 0.000 -2.220 0.000 5.285" Properties=species:S:1:pos:R:3 pbc="T T T"
Tb 0.000 0.000 0.000
Tb 5.933 1.664 0.000
Dy 1.189 0.000 3.378
Dy 7.122 1.664 3.378
W 2.829 1.664 0.763
W 4.291 0.000 2.607
W 8.762 0.000 0.763
W 10.223 1.664 2.607
C -0.512 1.664 4.324
C 3.033 1.664 2.923
C 4.080 0.000 0.446
C 5.421 0.000 4.324
C 8.966 0.000 2.923
C 10.013 1.664 0.446
```

No. 2
Simulated powder X-ray diffraction pattern
Compound: CdCu2IBr3
Radiation: a wavelength of 1.5418 Å
Structure: a crystal structure in OQMD, relaxed with GGA-PBE

Main lines, sorted by position (2θ = 10–80°):
2θ 15.2, 5.843 Å, I = 15
2θ 21.3, 4.172 Å, I = 21
2θ 25.7, 3.468 Å, I = 52
2θ 25.9, 3.438 Å, I = 100
2θ 26.6, 3.354 Å, I = 45
2θ 42.2, 2.140 Å, I = 49
2θ 43.4, 2.086 Å, I = 46
2θ 43.5, 2.079 Å, I = 23
2θ 44.1, 2.053 Å, I = 21
2θ 49.8, 1.830 Å, I = 15

Structure:
```
14
Lattice="8.218 0.000 0.000 0.000 8.315 0.000 -0.220 0.000 6.116" Properties=species:S:1:pos:R:3 pbc="T T T"
Cd 0.000 0.000 0.000
Cd 4.109 4.157 0.000
Cu 1.930 2.048 3.102
Cu 1.930 6.266 3.102
Cu 6.039 2.109 3.102
Cu 6.039 6.206 3.102
I 1.796 4.157 1.592
I 5.905 0.000 1.592
Br -0.120 2.131 4.508
Br -0.120 6.184 4.508
Br 2.060 0.000 1.710
Br 3.989 2.026 4.508
Br 3.989 6.288 4.508
Br 6.169 4.157 1.710
```

No. 3
Simulated powder X-ray diffraction pattern
Compound: LaYSi3Au
Radiation: a wavelength of 1.5418 Å
Structure: a crystal structure in OQMD, relaxed with GGA-PBE

Main lines, sorted by position (2θ = 10–80°):
2θ 16.1, 5.498 Å, I = 14
2θ 21.5, 4.125 Å, I = 15
2θ 23.9, 3.731 Å, I = 31
2θ 32.5, 2.751 Å, I = 100
2θ 42.1, 2.148 Å, I = 16
2θ 43.7, 2.071 Å, I = 28
2θ 43.9, 2.063 Å, I = 14
2θ 55.7, 1.651 Å, I = 13
2θ 62.3, 1.491 Å, I = 19
2θ 70.9, 1.330 Å, I = 10

Structure:
```
12
Lattice="0.000 4.296 7.183 4.125 0.000 7.183 4.125 4.296 0.000" Properties=species:S:1:pos:R:3 pbc="T T T"
La 4.125 2.099 7.183
La 4.125 6.493 7.183
Y 2.063 2.148 3.592
Y 6.188 6.444 10.775
Si 4.125 4.296 2.355
Si 6.213 4.296 5.993
Si 6.213 4.296 8.374
Si 2.038 4.296 5.993
Si 2.038 4.296 8.374
Si 4.125 4.296 12.012
Au 4.125 4.296 4.747
Au 4.125 4.296 9.619
```

No. 4
Simulated powder X-ray diffraction pattern
Compound: CsNaCd2Bi2
Radiation: a wavelength of 1.5418 Å
Structure: a crystal structure in OQMD, relaxed with GGA-PBE

Main lines, sorted by position (2θ = 10–80°):
2θ 20.6, 4.307 Å, I = 72
2θ 26.0, 3.429 Å, I = 27
2θ 26.5, 3.370 Å, I = 59
2θ 32.4, 2.767 Å, I = 100
2θ 34.1, 2.626 Å, I = 29
2θ 37.1, 2.424 Å, I = 60
2θ 39.0, 2.309 Å, I = 39
2θ 42.8, 2.111 Å, I = 42
2θ 46.1, 1.968 Å, I = 27
2θ 63.9, 1.457 Å, I = 28

Structure:
```
6
Lattice="4.849 0.000 0.000 0.000 4.849 0.000 0.000 0.000 9.372" Properties=species:S:1:pos:R:3 pbc="T T T"
Cs 0.000 0.000 0.000
Na 2.424 2.424 3.578
Cd 0.000 2.424 5.883
Cd 2.424 0.000 5.883
Bi 0.000 0.000 3.895
Bi 2.424 2.424 7.689
```